Record 1
For Ta2MoW, a DFT-relaxed cell (PBE, the Materials Project) gives the simulated powder XRD pattern in this record (Cu Ka).
Peak positions follow from Bragg's law for the DFT cell and can differ from measured ones.

Atomic structure:
```
data_Ta2MoW
_cell_length_a 6.4818
_cell_length_b 6.4818
_cell_length_c 6.4818
_cell_angle_alpha 90.00
_cell_angle_beta 90.00
_cell_angle_gamma 90.00
_symmetry_space_group_name_H-M 'F m -3 m'
_symmetry_Int_Tables_number 225
_symmetry_space_group_name_Hall '-F 4 2 3'
loop_
_atom_site_label
_atom_site_type_symbol
_atom_site_fract_x
_atom_site_fract_y
_atom_site_fract_z
_atom_site_occupancy
Ta1 Ta 0.2500 0.2500 0.2500 1
Mo1 Mo 0.0000 0.0000 0.0000 1
W1 W 0.0000 0.0000 0.5000 1
```

Largest 8 diffraction maxima, in order of falling intensity, 2θ = 5–70°:
- 39.32 deg, I = 100
- 56.82 deg, I = 17
- 23.78 deg, I = 4
- 46.47 deg, I = 2
- 27.52 deg, I = 2
- 62.45 deg, I = 1
- 64.27 deg, I = 1
- 48.66 deg, I = 1

Record 2
For TaMoW, a DFT-relaxed cell (PBE, the Materials Project) gives the simulated powder XRD pattern in this record (Cu Ka).
Peak positions follow from Bragg's law for the DFT cell and can differ from measured ones.

Atomic structure:
```
data_TaMoW
_cell_length_a 3.2115
_cell_length_b 4.6099
_cell_length_c 13.5457
_cell_angle_alpha 90.00
_cell_angle_beta 90.00
_cell_angle_gamma 90.00
_symmetry_space_group_name_H-M 'F m m 2'
_symmetry_Int_Tables_number 42
_symmetry_space_group_name_Hall 'F 2 -2'
loop_
_atom_site_label
_atom_site_type_symbol
_atom_site_fract_x
_atom_site_fract_y
_atom_site_fract_z
_atom_site_occupancy
Ta1 Ta 0.0000 0.0000 0.0000 1
Mo1 Mo 0.0000 0.0000 0.6685 1
W1 W 0.0000 0.0000 0.3301 1
```

Largest 10 diffraction maxima, in order of falling intensity, 2θ = 5–70°:
- 39.60 deg, I = 100
- 39.08 deg, I = 26
- 39.93 deg, I = 24
- 57.11 deg, I = 17
- 13.07 deg, I = 9
- 57.38 deg, I = 8
- 34.68 deg, I = 5
- 26.32 deg, I = 3
- 59.24 deg, I = 2
- 48.17 deg, I = 1

Record 3
For Tc3Mo, a DFT-relaxed cell (PBE, the Materials Project) gives the simulated powder XRD pattern in this record (Cu Ka).
Peak positions follow from Bragg's law for the DFT cell and can differ from measured ones.

Atomic structure:
```
data_Tc3Mo
_cell_length_a 3.9143
_cell_length_b 3.9143
_cell_length_c 3.9143
_cell_angle_alpha 90.00
_cell_angle_beta 90.00
_cell_angle_gamma 90.00
_symmetry_space_group_name_H-M 'P m -3 m'
_symmetry_Int_Tables_number 221
_symmetry_space_group_name_Hall '-P 4 2 3'
loop_
_atom_site_label
_atom_site_type_symbol
_atom_site_fract_x
_atom_site_fract_y
_atom_site_fract_z
_atom_site_occupancy
Tc1 Tc 0.0000 0.0000 0.5000 1
Mo1 Mo 0.5000 0.5000 0.5000 1
```

Largest 3 diffraction maxima, in order of falling intensity, 2θ = 5–70°:
- 39.89 deg, I = 100
- 46.39 deg, I = 48
- 67.70 deg, I = 30

Record 4
For Tc3Mo, a DFT-relaxed cell (PBE, the Materials Project) gives the simulated powder XRD pattern in this record (Cu Ka).
Peak positions follow from Bragg's law for the DFT cell and can differ from measured ones.

Atomic structure:
```
data_Tc3Mo
_cell_length_a 3.9195
_cell_length_b 3.9195
_cell_length_c 7.8137
_cell_angle_alpha 90.00
_cell_angle_beta 90.00
_cell_angle_gamma 90.00
_symmetry_space_group_name_H-M 'I 4/m m m'
_symmetry_Int_Tables_number 139
_symmetry_space_group_name_Hall '-I 4 2'
loop_
_atom_site_label
_atom_site_type_symbol
_atom_site_fract_x
_atom_site_fract_y
_atom_site_fract_z
_atom_site_occupancy
Tc1 Tc 0.0000 0.0000 0.0000 1
Tc2 Tc 0.0000 0.5000 0.2500 1
Mo1 Mo 0.0000 0.0000 0.5000 1
```

Largest 5 diffraction maxima, in order of falling intensity, 2θ = 5–70°:
- 39.88 deg, I = 100
- 46.33 deg, I = 32
- 67.73 deg, I = 20
- 46.49 deg, I = 16
- 67.60 deg, I = 10

Record 5
For Tc3Mo, a DFT-relaxed cell (PBE, the Materials Project) gives the simulated powder XRD pattern in this record (Cu Ka).
Peak positions follow from Bragg's law for the DFT cell and can differ from measured ones.

Atomic structure:
```
data_Tc3Mo
_cell_length_a 2.7719
_cell_length_b 2.7719
_cell_length_c 8.9880
_cell_angle_alpha 90.00
_cell_angle_beta 90.00
_cell_angle_gamma 120.00
_symmetry_space_group_name_H-M 'P -6 m 2'
_symmetry_Int_Tables_number 187
_symmetry_space_group_name_Hall 'P -6 2'
loop_
_atom_site_label
_atom_site_type_symbol
_atom_site_fract_x
_atom_site_fract_y
_atom_site_fract_z
_atom_site_occupancy
Tc1 Tc 0.0000 0.0000 0.0000 1
Tc2 Tc 0.3333 0.6667 0.2427 1
Mo1 Mo 0.0000 0.0000 0.5000 1
```

Largest 6 diffraction maxima, in order of falling intensity, 2θ = 5–70°:
- 42.70 deg, I = 100
- 40.13 deg, I = 26
- 37.46 deg, I = 24
- 67.59 deg, I = 16
- 56.06 deg, I = 14
- 9.84 deg, I = 1

Record 6
For Te2Mo, a DFT-relaxed cell (PBE, the Materials Project) gives the simulated powder XRD pattern in this record (Cu Ka).
Peak positions follow from Bragg's law for the DFT cell and can differ from measured ones.

Atomic structure:
```
data_Te2Mo
_cell_length_a 3.5587
_cell_length_b 3.5587
_cell_length_c 40.6933
_cell_angle_alpha 90.00
_cell_angle_beta 90.00
_cell_angle_gamma 120.00
_symmetry_space_group_name_H-M 'P -3 m 1'
_symmetry_Int_Tables_number 164
_symmetry_space_group_name_Hall '-P 3 2"'
loop_
_atom_site_label
_atom_site_type_symbol
_atom_site_fract_x
_atom_site_fract_y
_atom_site_fract_z
_atom_site_occupancy
Te1 Te 0.3333 0.6667 0.2384 1
Te2 Te 0.3333 0.6667 0.3273 1
Te3 Te 0.3333 0.6667 0.8612 1
Te4 Te 0.3333 0.6667 0.9502 1
Mo1 Mo 0.3333 0.6667 0.0943 1
Mo2 Mo 0.3333 0.6667 0.7172 1
```

Largest 10 diffraction maxima, in order of falling intensity, 2θ = 5–70°:
- 34.01 deg, I = 100
- 10.87 deg, I = 91
- 41.10 deg, I = 84
- 28.99 deg, I = 60
- 51.36 deg, I = 46
- 6.52 deg, I = 38
- 42.76 deg, I = 21
- 67.78 deg, I = 19
- 29.31 deg, I = 18
- 63.03 deg, I = 16

Record 7
For TeMo6, a DFT-relaxed cell (PBE, the Materials Project) gives the simulated powder XRD pattern in this record (Cu Ka).
Peak positions follow from Bragg's law for the DFT cell and can differ from measured ones.

Atomic structure:
```
data_TeMo6
_cell_length_a 17.8055
_cell_length_b 5.3587
_cell_length_c 5.3372
_cell_angle_alpha 90.00
_cell_angle_beta 90.00
_cell_angle_gamma 90.00
_symmetry_space_group_name_H-M 'C m c e'
_symmetry_Int_Tables_number 64
_symmetry_space_group_name_Hall '-C 2ac 2'
loop_
_atom_site_label
_atom_site_type_symbol
_atom_site_fract_x
_atom_site_fract_y
_atom_site_fract_z
_atom_site_occupancy
Te1 Te 0.0000 0.0000 0.0000 1
Mo1 Mo 0.1259 0.1760 0.2616 1
Mo2 Mo 0.2491 0.0000 0.5000 1
```

Largest 10 diffraction maxima, in order of falling intensity, 2θ = 5–70°:
- 39.37 deg, I = 100
- 39.25 deg, I = 62
- 40.53 deg, I = 46
- 42.88 deg, I = 35
- 48.12 deg, I = 33
- 64.69 deg, I = 27
- 37.56 deg, I = 22
- 24.06 deg, I = 19
- 27.98 deg, I = 19
- 9.94 deg, I = 17

Record 8
For Te2Mo, a DFT-relaxed cell (PBE, the Materials Project) gives the simulated powder XRD pattern in this record (Cu Ka).
Peak positions follow from Bragg's law for the DFT cell and can differ from measured ones.

Atomic structure:
```
data_Te2Mo
_cell_length_a 3.5587
_cell_length_b 3.5587
_cell_length_c 33.0200
_cell_angle_alpha 90.00
_cell_angle_beta 90.00
_cell_angle_gamma 120.00
_symmetry_space_group_name_H-M 'P -6 m 2'
_symmetry_Int_Tables_number 187
_symmetry_space_group_name_Hall 'P -6 2'
loop_
_atom_site_label
_atom_site_type_symbol
_atom_site_fract_x
_atom_site_fract_y
_atom_site_fract_z
_atom_site_occupancy
Te1 Te 0.0000 0.0000 0.0548 1
Te2 Te 0.3333 0.6667 0.1776 1
Te3 Te 0.3333 0.6667 0.2872 1
Mo1 Mo 0.0000 0.0000 0.2324 1
Mo2 Mo 0.3333 0.6667 0.0000 1
```

Largest 10 diffraction maxima, in order of falling intensity, 2θ = 5–70°:
- 5.35 deg, I = 100
- 10.72 deg, I = 53
- 34.77 deg, I = 39
- 42.02 deg, I = 36
- 33.32 deg, I = 29
- 28.97 deg, I = 26
- 51.37 deg, I = 26
- 40.02 deg, I = 23
- 29.48 deg, I = 13
- 29.10 deg, I = 9